Calculated powder X-ray diffraction pattern
Compound: VF5
Radiation: Cu Kα, 1.54184 Å
Structure: a PBE+U-relaxed structure

The 8 most intense peaks (2θ = 5–70°), in order of rising 2θ:
| d [Å] | 2theta | I_rel | h k l |
| --- | --- | --- | --- |
| 5.275 | 16.81 | 100 | 1 0 1 |
| 4.793 | 18.51 | 71 | 2 0 0 |
| 4.431 | 20.04 | 33 | 0 1 1 |
| 3.108 | 28.73 | 21 | 0 2 0 |
| 2.397 | 37.53 | 15 | 4 0 0 |
| 1.995 | 45.48 | 15 | 0 1 3 |
| 1.969 | 46.11 | 11 | 0 3 1 |
| 1.821 | 50.09 | 9 | 2 3 1 |

Cell: 9.5861 6.2157 6.3177 Å, 90.00 90.00 90.00°
Space group Pnma (No. 62)
One atom of each set of equivalent atoms:
V 0.0044 0.2500 0.0967 x4
F 0.0080 0.5580 0.1673 x8
F 0.0157 0.2500 0.3738 x4
F 0.1786 0.7500 0.9245 x4
F 0.1839 0.2500 0.0379 x4